# 1
For Ga5Ni, DFT lattice parameters and positions (GGA-PBE) gives the simulated powder X-ray diffraction pattern in this record (Cu Kα, 1.54184 Å).

Top 6 peaks for 2θ from 15° to 90°, by intensity:
| 2θ (°) | intensity | hkl |
| --- | --- | --- |
| 41.92 | 100 | 2 1 3 |
| 32.76 | 93 | 2 1 1 |
| 45.08 | 88 | 3 1 0 |
| 41.63 | 64 | 1 1 4 |
| 46.48 | 42 | 2 0 4 |
| 70.37 | 30 | 4 0 4 |

```
data_Ga5Ni
_space_group_name_H-M_alt 'I 4/m c m'
_space_group_IT_number 140
_space_group_name_Hall '-I 4 2c'
_cell_length_a 6.3594
_cell_length_b 6.3594
_cell_length_c 9.9061
_cell_angle_alpha 90.00
_cell_angle_beta 90.00
_cell_angle_gamma 90.00
loop_
_atom_site_label
_atom_site_fract_x
_atom_site_fract_y
_atom_site_fract_z
Ga1 0.0000 0.0000 0.0000
Ga2 0.1499 0.3501 0.1435
Ni1 0.0000 0.0000 0.2500
```

# 2
For CaMg6C, DFT lattice parameters and positions (GGA-PBE) gives the simulated powder X-ray diffraction pattern in this record (Cu Kα, 1.54184 Å).

Top 6 peaks for 2θ from 15° to 90°, by intensity:
| 2θ (°) | intensity | hkl |
| --- | --- | --- |
| 33.23 | 100 | 1 0 4 |
| 31.17 | 96 | 0 2 2 |
| 41.64 | 70 | 1 2 2 |
| 28.22 | 39 | 0 1 5 |
| 50.43 | 33 | 1 2 6 |
| 55.47 | 28 | 2 0 0 |

```
data_CaMg6C
_space_group_name_H-M_alt 'A m m 2'
_space_group_IT_number 38
_space_group_name_Hall 'A 2 -2'
_cell_length_a 3.3126
_cell_length_b 6.0359
_cell_length_c 18.5617
_cell_angle_alpha 90.00
_cell_angle_beta 90.00
_cell_angle_gamma 90.00
loop_
_atom_site_label
_atom_site_fract_x
_atom_site_fract_y
_atom_site_fract_z
Ca1 0.0000 0.0000 0.0000
Mg1 0.0000 0.0000 0.5536
Mg2 0.0000 0.2273 0.8029
Mg3 0.5000 0.0000 0.4169
Mg4 0.5000 0.2474 0.6692
C1 0.5000 0.0000 0.7648
```

# 3
For Ag2Se, DFT lattice parameters and positions (GGA-PBE) gives the simulated powder X-ray diffraction pattern in this record (Cu Kα, 1.54184 Å).

Top 6 peaks for 2θ from 15° to 90°, by intensity:
| 2θ (°) | intensity | hkl |
| --- | --- | --- |
| 38.70 | 100 | 1 2 2 |
| 38.47 | 46 | 2 0 0 |
| 43.09 | 40 | 1 3 1 |
| 26.70 | 38 | 0 2 1 |
| 22.15 | 33 | 1 0 1 |
| 32.25 | 27 | 1 1 2 |

```
data_Ag2Se
_space_group_name_H-M_alt 'P 21 21 21'
_space_group_IT_number 19
_space_group_name_Hall 'P 2ac 2ab'
_cell_length_a 4.6799
_cell_length_b 7.3893
_cell_length_c 7.7972
_cell_angle_alpha 90.00
_cell_angle_beta 90.00
_cell_angle_gamma 90.00
loop_
_atom_site_label
_atom_site_fract_x
_atom_site_fract_y
_atom_site_fract_z
Ag1 0.0055 0.1338 0.4592
Ag2 0.0106 0.3325 0.7879
Se1 0.0032 0.5449 0.5159
```